[1]
Diffraction record for Tb2NpGa6. The powder diffraction line list is computed, not measured: it uses a structure optimized by DFT (PBE) and Cu Kα (λ = 1.5418 Å).

Most intense lines, 10 to 90 degrees two-theta, most intense first:
| two_theta | I_rel |
| --- | --- |
| 33.79 | 100.0 |
| 41.15 | 48.3 |
| 54.26 | 26.0 |
| 70.30 | 23.9 |
| 66.00 | 23.6 |
| 23.41 | 22.4 |
| 49.17 | 9.6 |
| 74.99 | 8.1 |
| 82.03 | 7.9 |
| 89.31 | 5.3 |

Cell: 7.599 7.599 3.706 Å, 90.00 90.00 120.00°
Atoms (fractional coordinates):
Tb  0.333  0.667  0.000
Tb  0.667  0.333  0.000
Np  0.000  0.000  0.000
Ga  0.000  0.333  0.500
Ga  0.000  0.667  0.500
Ga  0.333  0.000  0.500
Ga  0.333  0.333  0.500
Ga  0.667  0.000  0.500
Ga  0.667  0.667  0.500

[2]
Diffraction record for Np2Ga3Tc. The powder diffraction line list is computed, not measured: it uses a structure optimized by DFT (PBE) and Cu Kα (λ = 1.5418 Å).

Most intense lines, 10 to 90 degrees two-theta, most intense first:
| two_theta | I_rel |
| --- | --- |
| 39.28 | 100.0 |
| 33.42 | 69.2 |
| 33.15 | 55.5 |
| 39.05 | 42.6 |
| 39.39 | 36.3 |
| 63.68 | 24.4 |
| 59.57 | 21.7 |
| 69.59 | 21.2 |
| 70.21 | 20.9 |
| 63.52 | 20.6 |

Cell: 5.404 5.404 5.404 Å, 59.49 59.49 59.49°
Atoms (fractional coordinates):
Np  0.128  0.128  0.128
Np  0.872  0.872  0.872
Ga  0.000  0.500  0.500
Ga  0.500  0.000  0.500
Ga  0.500  0.500  0.000
Tc  0.500  0.500  0.500

[3]
Diffraction record for NpGa3Tc2. The powder diffraction line list is computed, not measured: it uses a structure optimized by DFT (PBE) and Cu Kα (λ = 1.5418 Å).

Most intense lines, 10 to 90 degrees two-theta, most intense first:
| two_theta | I_rel |
| --- | --- |
| 41.97 | 100.0 |
| 21.40 | 45.9 |
| 35.66 | 32.8 |
| 41.30 | 27.9 |
| 27.85 | 26.0 |
| 29.67 | 23.2 |
| 43.60 | 21.3 |
| 17.61 | 21.1 |
| 75.76 | 14.8 |
| 46.98 | 13.7 |

Cell: 5.348 5.348 8.304 Å, 90.00 90.00 109.67°
Atoms (fractional coordinates):
Np  0.000  0.000  0.250
Np  0.000  0.000  0.750
Ga  0.228  0.677  0.000
Ga  0.323  0.772  0.500
Ga  0.500  0.500  0.250
Ga  0.500  0.500  0.750
Ga  0.677  0.228  0.500
Ga  0.772  0.323  0.000
Tc  0.000  0.500  0.283
Tc  0.000  0.500  0.717
Tc  0.500  0.000  0.217
Tc  0.500  0.000  0.783

[4]
Diffraction record for Np2Ga8Tc. The powder diffraction line list is computed, not measured: it uses a structure optimized by DFT (PBE) and Cu Kα (λ = 1.5418 Å).

Most intense lines, 10 to 90 degrees two-theta, most intense first:
| two_theta | I_rel |
| --- | --- |
| 38.16 | 100.0 |
| 41.40 | 53.2 |
| 20.36 | 41.9 |
| 33.32 | 36.6 |
| 73.35 | 29.0 |
| 31.92 | 23.4 |
| 59.76 | 19.6 |
| 59.99 | 17.7 |
| 41.10 | 14.8 |
| 75.87 | 11.8 |

Cell: 4.362 4.362 10.980 Å, 90.00 90.00 90.00°
Atoms (fractional coordinates):
Np  0.000  0.000  0.192
Np  0.000  0.000  0.808
Ga  0.000  0.500  0.000
Ga  0.000  0.500  0.376
Ga  0.000  0.500  0.624
Ga  0.500  0.000  0.000
Ga  0.500  0.000  0.376
Ga  0.500  0.000  0.624
Ga  0.500  0.500  0.190
Ga  0.500  0.500  0.810
Tc  0.000  0.000  0.500

[5]
Diffraction record for Np2TiGa6. The powder diffraction line list is computed, not measured: it uses a structure optimized by DFT (PBE) and Cu Kα (λ = 1.5418 Å).

Most intense lines, 10 to 90 degrees two-theta, most intense first:
| two_theta | I_rel |
| --- | --- |
| 38.46 | 100.0 |
| 69.57 | 18.9 |
| 55.53 | 18.6 |
| 21.94 | 17.8 |
| 12.61 | 16.9 |
| 33.77 | 12.3 |
| 78.16 | 11.5 |
| 69.63 | 8.6 |
| 25.38 | 7.9 |
| 57.20 | 6.5 |

Cell: 8.105 8.105 2.869 Å, 90.00 90.00 120.05°
Atoms (fractional coordinates):
Np  0.167  0.833  0.000
Np  0.833  0.167  0.000
Ti  0.500  0.500  0.000
Ga  0.182  0.182  0.500
Ga  0.183  0.500  0.500
Ga  0.500  0.183  0.500
Ga  0.500  0.817  0.500
Ga  0.817  0.500  0.500
Ga  0.818  0.818  0.500

[6]
Diffraction record for TmNp4Ga15. The powder diffraction line list is computed, not measured: it uses a structure optimized by DFT (PBE) and Cu Kα (λ = 1.5418 Å).

Most intense lines, 10 to 90 degrees two-theta, most intense first:
| two_theta | I_rel |
| --- | --- |
| 32.30 | 100.0 |
| 45.08 | 86.3 |
| 22.10 | 58.9 |
| 34.70 | 58.8 |
| 42.87 | 48.1 |
| 36.22 | 42.3 |
| 23.25 | 39.7 |
| 65.66 | 27.8 |
| 36.63 | 26.3 |
| 31.46 | 25.0 |

Cell: 4.023 4.021 24.802 Å, 90.00 90.28 90.00°
Atoms (fractional coordinates):
Tm  0.000  0.000  0.000
Np  0.003  0.000  0.203
Np  0.006  0.000  0.302
Np  0.994  0.000  0.698
Np  0.997  0.000  0.797
Ga  0.000  0.500  0.500
Ga  0.001  0.500  0.092
Ga  0.009  0.500  0.395
Ga  0.491  0.000  0.605
Ga  0.495  0.500  0.739
Ga  0.498  0.000  0.908
Ga  0.498  0.500  0.840
Ga  0.500  0.000  0.500
Ga  0.500  0.500  0.000
Ga  0.502  0.000  0.092
Ga  0.502  0.500  0.160
Ga  0.505  0.500  0.261
Ga  0.509  0.000  0.395
Ga  0.991  0.500  0.605
Ga  0.999  0.500  0.908

[7]
Diffraction record for Np3Zn2Ga4. The powder diffraction line list is computed, not measured: it uses a structure optimized by DFT (PBE) and Cu Kα (λ = 1.5418 Å).

Most intense lines, 10 to 90 degrees two-theta, most intense first:
| two_theta | I_rel |
| --- | --- |
| 38.28 | 100.0 |
| 37.84 | 79.0 |
| 21.58 | 56.1 |
| 54.92 | 35.5 |
| 68.60 | 24.4 |
| 77.87 | 19.4 |
| 68.70 | 12.0 |
| 43.98 | 9.4 |
| 68.39 | 9.2 |
| 80.81 | 5.8 |

Cell: 8.231 8.231 5.728 Å, 90.00 90.00 119.88°
Atoms (fractional coordinates):
Np  0.000  0.000  0.250
Np  0.000  0.000  0.750
Np  0.336  0.664  0.250
Np  0.336  0.664  0.750
Np  0.664  0.336  0.250
Np  0.664  0.336  0.750
Zn  0.002  0.664  0.000
Zn  0.336  0.998  0.500
Zn  0.664  0.002  0.500
Zn  0.998  0.336  0.000
Ga  0.005  0.669  0.500
Ga  0.328  0.330  0.000
Ga  0.330  0.328  0.500
Ga  0.331  0.995  0.000
Ga  0.669  0.005  0.000
Ga  0.670  0.672  0.500
Ga  0.672  0.670  0.000
Ga  0.995  0.331  0.500

[8]
Diffraction record for NpZn12Ga6. The powder diffraction line list is computed, not measured: it uses a structure optimized by DFT (PBE) and Cu Kα (λ = 1.5418 Å).

Most intense lines, 10 to 90 degrees two-theta, most intense first:
| two_theta | I_rel |
| --- | --- |
| 33.91 | 100.0 |
| 44.48 | 57.1 |
| 50.07 | 27.1 |
| 31.05 | 25.5 |
| 25.64 | 22.3 |
| 40.69 | 21.7 |
| 83.47 | 21.6 |
| 38.27 | 16.3 |
| 49.39 | 14.2 |
| 69.18 | 12.7 |

Cell: 7.288 7.288 7.288 Å, 104.48 104.48 104.48°
Atoms (fractional coordinates):
Np  0.000  0.000  0.000
Zn  0.107  0.500  0.893
Zn  0.107  0.893  0.500
Zn  0.143  0.380  0.380
Zn  0.380  0.143  0.380
Zn  0.380  0.380  0.143
Zn  0.500  0.107  0.893
Zn  0.500  0.893  0.107
Zn  0.620  0.620  0.857
Zn  0.620  0.857  0.620
Zn  0.857  0.620  0.620
Zn  0.893  0.107  0.500
Zn  0.893  0.500  0.107
Ga  0.276  0.713  0.713
Ga  0.287  0.287  0.724
Ga  0.287  0.724  0.287
Ga  0.713  0.276  0.713
Ga  0.713  0.713  0.276
Ga  0.724  0.287  0.287

Number 7 is which compound? Np3Zn2Ga4